[1]
Computed PXRD pattern of BaNi4As for CuKα, from DFT lattice parameters and positions (PBE).

Principal peaks in the range 2θ = 15–90°, in order of rising 2θ:
21.11°, rel. 3; 24.43°, rel. 5; 34.82°, rel. 44; 41.07°, rel. 100; 42.99°, rel. 26; 54.91°, rel. 1; 62.42°, rel. 16; 66.68°, rel. 31; 73.51°, rel. 23; 83.98°, rel. 7; 87.83°, rel. 11; 89.12°, rel. 8

Structural model:
a = 5.154 Å, b = 5.154 Å, c = 5.154 Å
α = 60.00°, β = 60.00°, γ = 60.00°
Element x y z (fractional)
1 Ba 0.000 0.000 0.000
2 Ni 0.132 0.623 0.623
3 Ni 0.623 0.132 0.623
4 Ni 0.623 0.623 0.132
5 Ni 0.623 0.623 0.623
6 As 0.250 0.250 0.250

[2]
Computed PXRD pattern of B4W for CuKα, from DFT lattice parameters and positions (PBE).

Principal peaks in the range 2θ = 15–90°, in order of rising 2θ:
19.15°, rel. 18; 23.56°, rel. 73; 27.39°, rel. 37; 33.50°, rel. 89; 41.36°, rel. 18; 43.80°, rel. 100; 46.18°, rel. 16; 54.24°, rel. 16; 59.90°, rel. 28; 67.07°, rel. 20; 67.33°, rel. 21; 77.08°, rel. 19

Structural model:
a = 5.350 Å, b = 5.350 Å, c = 6.512 Å
α = 90.00°, β = 90.00°, γ = 120.00°
Element x y z (fractional)
1 B 0.000 0.337 0.000
2 B 0.000 0.337 0.500
3 B 0.000 0.663 0.000
4 B 0.000 0.663 0.500
5 B 0.333 0.667 0.119
6 B 0.333 0.667 0.381
7 B 0.337 0.000 0.000
8 B 0.337 0.000 0.500
9 B 0.337 0.337 0.000
10 B 0.337 0.337 0.500
11 B 0.663 0.000 0.000
12 B 0.663 0.000 0.500
13 B 0.663 0.663 0.000
14 B 0.663 0.663 0.500
15 B 0.667 0.333 0.619
16 B 0.667 0.333 0.881
17 W 0.000 0.000 0.250
18 W 0.000 0.000 0.750
19 W 0.333 0.667 0.750
20 W 0.667 0.333 0.250

[3]
Computed PXRD pattern of LiZrBe17 for CuKα, from DFT lattice parameters and positions (PBE).

Principal peaks in the range 2θ = 15–90°, in order of rising 2θ:
15.92°, rel. 100; 21.29°, rel. 55; 23.83°, rel. 30; 28.79°, rel. 28; 32.16°, rel. 21; 34.39°, rel. 40; 37.71°, rel. 26; 40.42°, rel. 23; 41.91°, rel. 18; 48.78°, rel. 17; 49.10°, rel. 30; 50.07°, rel. 22

Structural model:
a = 5.645 Å, b = 5.645 Å, c = 5.645 Å
α = 82.82°, β = 82.82°, γ = 82.82°
Element x y z (fractional)
1 Li 0.000 0.000 0.000
2 Zr 0.684 0.684 0.684
3 Be 0.002 0.002 0.495
4 Be 0.002 0.495 0.002
5 Be 0.054 0.341 0.637
6 Be 0.054 0.637 0.341
7 Be 0.183 0.687 0.687
8 Be 0.246 0.246 0.246
9 Be 0.341 0.054 0.637
10 Be 0.341 0.637 0.054
11 Be 0.354 0.354 0.839
12 Be 0.354 0.839 0.354
13 Be 0.442 0.442 0.442
14 Be 0.495 0.002 0.002
15 Be 0.637 0.054 0.341
16 Be 0.637 0.341 0.054
17 Be 0.687 0.183 0.687
18 Be 0.687 0.687 0.183
19 Be 0.839 0.354 0.354

[4]
Computed PXRD pattern of Tb6DyTh2 for CuKα, from DFT lattice parameters and positions (PBE).

Principal peaks in the range 2θ = 15–90°, in order of rising 2θ:
28.87°, rel. 46; 30.51°, rel. 49; 30.64°, rel. 20; 31.96°, rel. 61; 33.59°, rel. 100; 42.50°, rel. 30; 51.16°, rel. 38; 57.27°, rel. 32; 60.75°, rel. 45; 62.60°, rel. 17; 84.99°, rel. 15; 85.79°, rel. 13

Structural model:
a = 3.571 Å, b = 3.571 Å, c = 26.371 Å
α = 90.00°, β = 90.00°, γ = 120.00°
Element x y z (fractional)
1 Tb 0.000 0.000 0.063
2 Tb 0.000 0.000 0.283
3 Tb 0.000 0.000 0.717
4 Tb 0.000 0.000 0.937
5 Tb 0.333 0.667 0.392
6 Tb 0.333 0.667 0.608
7 Dy 0.000 0.000 0.500
8 Th 0.333 0.667 0.171
9 Th 0.333 0.667 0.829